No. 1
# KInAg3
Simulated PXRD pattern, Cu Kα, 1.54184 Å. Input: the PBE geometry in Alexandria.
Kinematic intensities with the Lorentz-polarization factor, no thermal factor.

```
data_KInAg3
_symmetry_space_group_name_H-M 'P 1'
_symmetry_Int_Tables_number 1
_symmetry_space_group_name_Hall 'P 1'
_cell_length_a 7.5243
_cell_length_b 7.5243
_cell_length_c 7.5243
_cell_angle_alpha 133.67
_cell_angle_beta 94.81
_cell_angle_gamma 103.03
loop_
_atom_site_label
_atom_site_type_symbol
_atom_site_fract_x
_atom_site_fract_y
_atom_site_fract_z
K1 K 0.3119 0.0619 0.2500
K2 K 0.6881 0.9381 0.7500
In1 In 0.0000 0.5000 0.5000
In2 In 0.5000 0.5000 0.0000
Ag1 Ag 0.1030 0.3530 0.7500
Ag2 Ag 0.2178 0.0000 0.7178
Ag3 Ag 0.2178 0.5000 0.2178
Ag4 Ag 0.7822 0.0000 0.2822
Ag5 Ag 0.7822 0.5000 0.7822
Ag6 Ag 0.8970 0.6470 0.2500
```

Top 12 peaks for 2θ = 10–90°, in order of rising 2θ:
12.84°, I = 100.0; 17.41°, I = 51.3; 17.73°, I = 73.1; 25.80°, I = 65.3; 35.07°, I = 37.4; 35.25°, I = 56.4; 35.90°, I = 68.6; 37.04°, I = 61.3; 40.16°, I = 91.7; 41.62°, I = 31.9; 42.50°, I = 64.3; 51.19°, I = 33.0

---

No. 2
# TaAl2CoS
Simulated PXRD pattern, Cu Kα, 1.54184 Å. Input: the PBE geometry in Alexandria.
Kinematic intensities with the Lorentz-polarization factor, no thermal factor.

```
data_TaAl2CoS
_symmetry_space_group_name_H-M 'P 1'
_symmetry_Int_Tables_number 1
_symmetry_space_group_name_Hall 'P 1'
_cell_length_a 4.5923
_cell_length_b 4.5923
_cell_length_c 4.0653
_cell_angle_alpha 90.00
_cell_angle_beta 90.00
_cell_angle_gamma 90.00
loop_
_atom_site_label
_atom_site_type_symbol
_atom_site_fract_x
_atom_site_fract_y
_atom_site_fract_z
Ta1 Ta 0.0000 0.0000 0.0000
Al1 Al 0.0000 0.5000 0.5000
Al2 Al 0.5000 0.0000 0.5000
Co1 Co 0.5000 0.5000 0.5000
S1 S 0.5000 0.5000 0.0000
```

Top 12 peaks for 2θ = 10–90°, in order of rising 2θ:
19.33°, I = 19.4; 27.47°, I = 67.1; 29.34°, I = 100.0; 35.38°, I = 58.8; 39.24°, I = 57.3; 44.58°, I = 19.8; 49.74°, I = 47.5; 53.16°, I = 21.0; 56.69°, I = 19.1; 60.87°, I = 30.7; 68.63°, I = 17.5; 74.85°, I = 16.6

---

No. 3
# PmGe2Ir5
Simulated PXRD pattern, Cu Kα, 1.54184 Å. Input: the PBE geometry in Alexandria.
Kinematic intensities with the Lorentz-polarization factor, no thermal factor.

```
data_PmGe2Ir5
_symmetry_space_group_name_H-M 'P 1'
_symmetry_Int_Tables_number 1
_symmetry_space_group_name_Hall 'P 1'
_cell_length_a 6.3487
_cell_length_b 6.3487
_cell_length_c 6.3487
_cell_angle_alpha 143.88
_cell_angle_beta 111.99
_cell_angle_gamma 79.50
loop_
_atom_site_label
_atom_site_type_symbol
_atom_site_fract_x
_atom_site_fract_y
_atom_site_fract_z
Pm1 Pm 0.0000 0.0000 0.0000
Ge1 Ge 0.2486 0.7486 0.5000
Ge2 Ge 0.7514 0.2514 0.5000
Ir1 Ir 0.1647 0.3601 0.8046
Ir2 Ir 0.4444 0.6399 0.8046
Ir3 Ir 0.5000 0.0000 0.5000
Ir4 Ir 0.5556 0.3601 0.1954
Ir5 Ir 0.8353 0.6399 0.1954
```

Top 12 peaks for 2θ = 10–90°, in order of rising 2θ:
15.43°, I = 29.7; 35.26°, I = 100.0; 35.80°, I = 96.0; 44.67°, I = 36.7; 45.08°, I = 53.7; 45.56°, I = 18.1; 46.13°, I = 36.5; 47.50°, I = 16.4; 66.48°, I = 38.3; 77.42°, I = 17.9; 78.32°, I = 15.7; 82.27°, I = 14.3